[1]
The following is a computed powder XRD pattern of Y2HoSn3Pt3. It was derived from a crystal structure in OQMD, relaxed with GGA-PBE, using Cu Kα.
No peak broadening, texture or thermal motion is included.

Principal peaks in the range 10° ≤ 2θ ≤ 80°, most intense first:
2θ = 35.49°, rel. 100.0, (1 4 0); 2θ = 32.61°, rel. 71.7, (1 3 1); 2θ = 43.11°, rel. 53.0, (1 4 2); 2θ = 41.65°, rel. 52.6, (0 6 0); 2θ = 66.86°, rel. 36.3, (1 1 5); 2θ = 63.02°, rel. 31.4, (2 6 0); 2θ = 36.54°, rel. 31.3, (0 1 3); 2θ = 45.05°, rel. 28.5, (2 0 0); 2θ = 23.69°, rel. 24.2, (0 0 2); 2θ = 26.04°, rel. 19.5, (1 2 0)

Structural model:
Cell lengths 4.025, 12.999, 7.517 Å; angles 90.00, 90.00, 90.00 degrees
Space group Amm2 (No. 38)
Inequivalent atoms, fractional coordinates:
Y 0.000 0.203 0.000 (multiplicity 4)
Ho 0.000 0.000 0.392 (multiplicity 2)
Sn 0.500 0.000 0.056 (multiplicity 2)
Sn 0.500 0.130 0.668 (multiplicity 4)
Pt 0.000 0.000 0.796 (multiplicity 2)
Pt 0.500 0.165 0.298 (multiplicity 4)

---

[2]
The following is a computed powder XRD pattern of ZrGa2Pt. It was derived from a crystal structure in OQMD, relaxed with GGA-PBE, using Cu Kα.
No peak broadening, texture or thermal motion is included.

Principal peaks in the range 10° ≤ 2θ ≤ 80°, most intense first:
2θ = 38.95°, rel. 100.0, (2 2 0); 2θ = 70.54°, rel. 34.1, (4 2 2); 2θ = 23.56°, rel. 18.5, (1 1 1); 2θ = 56.26°, rel. 17.0, (4 0 0); 2θ = 46.02°, rel. 9.8, (3 1 1); 2θ = 27.27°, rel. 6.4, (2 0 0); 2θ = 61.83°, rel. 4.2, (3 3 1); 2θ = 75.53°, rel. 3.2, (5 1 1); 2θ = 63.62°, rel. 2.7, (4 2 0); 2θ = 48.19°, rel. 2.0, (2 2 2)

Structural model:
Cell lengths 6.541, 6.541, 6.541 Å; angles 90.00, 90.00, 90.00 degrees
Space group F-43m (No. 216)
Inequivalent atoms, fractional coordinates:
Zr 0.000 0.000 0.000 (multiplicity 4)
Ga 0.000 0.000 0.500 (multiplicity 4)
Ga 0.250 0.250 0.250 (multiplicity 4)
Pt 0.250 0.250 0.750 (multiplicity 4)

---

[3]
The following is a computed powder XRD pattern of Hf3Cd2B2. It was derived from a crystal structure in OQMD, relaxed with GGA-PBE, using Cu Kα.
No peak broadening, texture or thermal motion is included.

Principal peaks in the range 10° ≤ 2θ ≤ 80°, most intense first:
2θ = 35.69°, rel. 100.0, (0 1 8); 2θ = 49.14°, rel. 73.5, (1 1 0); 2θ = 28.33°, rel. 67.6, (0 1 2); 2θ = 39.52°, rel. 58.9, (1 0 10); 2θ = 31.08°, rel. 50.1, (0 1 5); 2θ = 66.47°, rel. 38.6, (1 1 15); 2θ = 29.93°, rel. 36.1, (1 0 4); 2θ = 46.12°, rel. 28.1, (1 0 13); 2θ = 33.98°, rel. 26.0, (1 0 7); 2θ = 41.84°, rel. 25.5, (0 0 15)

Structural model:
Cell lengths 3.7082, 3.7082, 32.3839 Å; angles 90.00, 90.00, 120.00 degrees
Space group R3m (No. 160, hexagonal axes)
Inequivalent atoms, fractional coordinates:
Hf 0.0000 0.0000 0.0000 (multiplicity 3)
Hf 0.0000 0.0000 0.2136 (multiplicity 3)
Hf 0.0000 0.0000 0.4783 (multiplicity 3)
Cd 0.0000 0.0000 0.0846 (multiplicity 3)
Cd 0.0000 0.0000 0.6066 (multiplicity 3)
B 0.0000 0.0000 0.3042 (multiplicity 3)
B 0.0000 0.0000 0.8448 (multiplicity 3)

---

[4]
The following is a computed powder XRD pattern of Co2CuTc. It was derived from a crystal structure in OQMD, relaxed with GGA-PBE, using Cu Kα.
No peak broadening, texture or thermal motion is included.

Principal peaks in the range 10° ≤ 2θ ≤ 80°, most intense first:
2θ = 44.48°, rel. 100.0, (2 2 0); 2θ = 64.72°, rel. 15.2, (4 0 0); 2θ = 26.80°, rel. 4.7, (1 1 1); 2θ = 52.69°, rel. 2.3, (3 1 1); 2θ = 31.04°, rel. 1.6, (2 0 0); 2θ = 71.36°, rel. 1.0, (3 3 1); 2θ = 73.51°, rel. 0.6, (4 2 0)

Structural model:
Cell lengths 5.761, 5.761, 5.761 Å; angles 90.00, 90.00, 90.00 degrees
Space group F-43m (No. 216)
Inequivalent atoms, fractional coordinates:
Co 0.000 0.000 0.000 (multiplicity 4)
Co 0.250 0.250 0.250 (multiplicity 4)
Cu 0.250 0.250 0.750 (multiplicity 4)
Tc 0.000 0.000 0.500 (multiplicity 4)

---

[5]
The following is a computed powder XRD pattern of TaBr5. It was derived from a crystal structure in OQMD, relaxed with GGA-PBE, using Cu Kα.
No peak broadening, texture or thermal motion is included.

Principal peaks in the range 10° ≤ 2θ ≤ 80°, most intense first:
2θ = 15.42°, rel. 100.0, (1 1 0); 2θ = 17.29°, rel. 89.4, (1 0 1); 2θ = 16.63°, rel. 66.0, (0 1 1); 2θ = 26.39°, rel. 62.9, (2 0 1); 2θ = 33.56°, rel. 55.2, (1 3 0); 2θ = 20.82°, rel. 51.8, (0 2 0); 2θ = 46.23°, rel. 49.9, (2 0 3); 2θ = 34.15°, rel. 36.7, (0 3 1); 2θ = 22.88°, rel. 36.2, (2 0 0); 2θ = 28.56°, rel. 34.5, (1 0 2)

Structural model:
Cell lengths 7.773, 8.533, 6.827 Å; angles 90.00, 90.00, 90.00 degrees
Space group Pmmn (No. 59, origin choice 2)
Inequivalent atoms, fractional coordinates:
Ta 0.250 0.250 0.174 (multiplicity 2)
Br 0.019 0.750 0.644 (multiplicity 4)
Br 0.250 0.250 0.818 (multiplicity 2)
Br 0.250 0.542 0.171 (multiplicity 4)

---

[6]
The following is a computed powder XRD pattern of Dy2Be2GeO7. It was derived from a crystal structure in OQMD, relaxed with GGA-PBE, using Cu Kα.
No peak broadening, texture or thermal motion is included.

Principal peaks in the range 10° ≤ 2θ ≤ 80°, most intense first:
2θ = 32.97°, rel. 100.0, (2 1 1); 2θ = 27.00°, rel. 50.9, (2 1 0); 2θ = 25.27°, rel. 44.5, (1 1 1); 2θ = 46.94°, rel. 42.8, (2 1 2); 2θ = 30.60°, rel. 42.8, (2 0 1); 2θ = 18.57°, rel. 37.6, (0 0 1); 2θ = 38.55°, rel. 27.2, (3 1 0); 2θ = 54.99°, rel. 27.0, (3 1 2); 2θ = 56.25°, rel. 24.7, (3 3 1); 2θ = 65.04°, rel. 21.5, (2 1 3)

Structural model:
Cell lengths 7.384, 7.384, 4.778 Å; angles 90.00, 90.00, 90.00 degrees
Space group P-42_1m (No. 113)
Inequivalent atoms, fractional coordinates:
Dy 0.158 0.342 0.494 (multiplicity 4)
Be 0.136 0.636 0.952 (multiplicity 4)
Ge 0.000 0.000 0.000 (multiplicity 2)
O 0.000 0.500 0.815 (multiplicity 2)
O 0.081 0.828 0.781 (multiplicity 8)
O 0.143 0.643 0.282 (multiplicity 4)

---

[7]
The following is a computed powder XRD pattern of Dy2TlIn3. It was derived from a crystal structure in OQMD, relaxed with GGA-PBE, using Cu Kα.
No peak broadening, texture or thermal motion is included.

Principal peaks in the range 10° ≤ 2θ ≤ 80°, most intense first:
2θ = 33.02°, rel. 100.0, (1 3 1); 2θ = 38.42°, rel. 17.0, (0 0 2); 2θ = 38.92°, rel. 16.4, (2 0 0); 2θ = 37.57°, rel. 16.2, (0 6 0); 2θ = 66.09°, rel. 13.3, (1 3 3); 2θ = 66.76°, rel. 12.9, (3 3 1); 2θ = 54.82°, rel. 12.3, (0 6 2); 2θ = 55.84°, rel. 11.4, (2 0 2); 2θ = 64.93°, rel. 11.1, (1 9 1); 2θ = 69.26°, rel. 10.6, (2 6 2)

Structural model:
Cell lengths 4.628, 14.365, 4.685 Å; angles 90.00, 90.00, 90.00 degrees
Space group Cmmm (No. 65)
Inequivalent atoms, fractional coordinates:
Dy 0.000 0.155 0.000 (multiplicity 4)
Tl 0.000 0.500 0.000 (multiplicity 2)
In 0.000 0.000 0.500 (multiplicity 2)
In 0.000 0.323 0.500 (multiplicity 4)

---

[8]
The following is a computed powder XRD pattern of Zr2Se3S. It was derived from a crystal structure in OQMD, relaxed with GGA-PBE, using Cu Kα.
No peak broadening, texture or thermal motion is included.

Principal peaks in the range 10° ≤ 2θ ≤ 80°, most intense first:
2θ = 13.25°, rel. 100.0, (0 0 2); 2θ = 30.44°, rel. 88.9, (1 1 2); 2θ = 34.02°, rel. 72.2, (1 1 3); 2θ = 43.74°, rel. 39.6, (1 1 5); 2θ = 38.53°, rel. 37.0, (0 2 4); 2θ = 48.74°, rel. 33.4, (1 3 1); 2θ = 28.11°, rel. 28.8, (0 2 1); 2θ = 48.22°, rel. 25.4, (2 0 0); 2θ = 49.52°, rel. 22.3, (1 1 6); 2θ = 63.35°, rel. 16.4, (2 2 4)

Structural model:
Cell lengths 3.774, 6.536, 13.367 Å; angles 90.00, 90.00, 90.00 degrees
Space group Pmn2_1 (No. 31)
Inequivalent atoms, fractional coordinates:
Zr 0.000 0.027 0.000 (multiplicity 2)
Zr 0.000 0.469 0.496 (multiplicity 2)
Se 0.000 0.364 0.117 (multiplicity 2)
Se 0.000 0.696 0.876 (multiplicity 2)
Se 0.000 0.805 0.377 (multiplicity 2)
S 0.000 0.139 0.603 (multiplicity 2)

---

[9]
The following is a computed powder XRD pattern of NdGa5NiPd. It was derived from a crystal structure in OQMD, relaxed with GGA-PBE, using Cu Kα.
No peak broadening, texture or thermal motion is included.

Principal peaks in the range 10° ≤ 2θ ≤ 80°, most intense first:
2θ = 44.81°, rel. 100.0, (2 0 0); 2θ = 34.64°, rel. 97.4, (1 2 1); 2θ = 35.33°, rel. 80.1, (1 0 3); 2θ = 31.27°, rel. 44.1, (1 1 2); 2θ = 65.24°, rel. 36.2, (2 2 4); 2θ = 47.90°, rel. 31.4, (1 3 2); 2θ = 43.95°, rel. 24.6, (1 3 0); 2θ = 30.05°, rel. 23.2, (0 1 3); 2θ = 62.70°, rel. 13.6, (1 1 6); 2θ = 24.79°, rel. 13.4, (0 2 0)

Structural model:
Cell lengths 4.041, 7.184, 9.801 Å; angles 90.00, 90.00, 90.00 degrees
Space group Imm2 (No. 44)
Inequivalent atoms, fractional coordinates:
Nd 0.000 0.000 0.000 (multiplicity 2)
Ga 0.000 0.185 0.658 (multiplicity 4)
Ga 0.000 0.201 0.358 (multiplicity 4)
Ga 0.000 0.500 0.013 (multiplicity 2)
Ni 0.000 0.500 0.249 (multiplicity 2)
Pd 0.000 0.500 0.764 (multiplicity 2)

---

[10]
The following is a computed powder XRD pattern of K3NbP2O9. It was derived from a crystal structure in OQMD, relaxed with GGA-PBE, using Cu Kα.
No peak broadening, texture or thermal motion is included.

Principal peaks in the range 10° ≤ 2θ ≤ 80°, most intense first:
2θ = 29.64°, rel. 100.0, (1 3 2); 2θ = 29.46°, rel. 96.5, (1 3 -2); 2θ = 28.22°, rel. 84.3, (0 1 3); 2θ = 34.34°, rel. 75.3, (2 0 0); 2θ = 13.72°, rel. 72.5, (0 2 1); 2θ = 22.93°, rel. 71.6, (1 3 0); 2θ = 32.32°, rel. 71.3, (1 5 1); 2θ = 10.49°, rel. 53.7, (0 1 1); 2θ = 28.34°, rel. 34.1, (1 4 1); 2θ = 46.86°, rel. 25.2, (2 6 0)

Structural model:
Cell lengths 5.223, 17.365, 9.652 Å; angles 90.00, 90.50, 90.00 degrees
Space group P2_1/c (No. 14)
Inequivalent atoms, fractional coordinates:
K 0.242 0.136 0.071 (multiplicity 4)
K 0.251 0.071 0.463 (multiplicity 4)
K 0.254 0.705 0.038 (multiplicity 4)
Nb 0.234 0.590 0.687 (multiplicity 4)
P 0.255 0.215 0.761 (multiplicity 4)
P 0.266 0.541 0.326 (multiplicity 4)
O 0.001 0.183 0.830 (multiplicity 4)
O 0.072 0.025 0.862 (multiplicity 4)
O 0.222 0.570 0.181 (multiplicity 4)
O 0.228 0.580 0.870 (multiplicity 4)
O 0.248 0.204 0.606 (multiplicity 4)
O 0.250 0.602 0.443 (multiplicity 4)
O 0.293 0.202 0.308 (multiplicity 4)
O 0.461 0.003 0.159 (multiplicity 4)
O 0.473 0.164 0.830 (multiplicity 4)

---

Copy entry 2 word for word.
The following is a computed powder XRD pattern of ZrGa2Pt. It was derived from a crystal structure in OQMD, relaxed with GGA-PBE, using Cu Kα.
No peak broadening, texture or thermal motion is included.

Principal peaks in the range 10° ≤ 2θ ≤ 80°, most intense first:
2θ = 38.95°, rel. 100.0, (2 2 0); 2θ = 70.54°, rel. 34.1, (4 2 2); 2θ = 23.56°, rel. 18.5, (1 1 1); 2θ = 56.26°, rel. 17.0, (4 0 0); 2θ = 46.02°, rel. 9.8, (3 1 1); 2θ = 27.27°, rel. 6.4, (2 0 0); 2θ = 61.83°, rel. 4.2, (3 3 1); 2θ = 75.53°, rel. 3.2, (5 1 1); 2θ = 63.62°, rel. 2.7, (4 2 0); 2θ = 48.19°, rel. 2.0, (2 2 2)

Structural model:
Cell lengths 6.541, 6.541, 6.541 Å; angles 90.00, 90.00, 90.00 degrees
Space group F-43m (No. 216)
Inequivalent atoms, fractional coordinates:
Zr 0.000 0.000 0.000 (multiplicity 4)
Ga 0.000 0.000 0.500 (multiplicity 4)
Ga 0.250 0.250 0.250 (multiplicity 4)
Pt 0.250 0.250 0.750 (multiplicity 4)